The following is a simulated powder diffraction line list of LiCeTa4N8. It was derived from the GGA-PBE geometry in Alexandria, using Cu Kα, 1.54184 Å.
Intensities are scaled so that the largest is 1000.

The 12 most intense peaks (2θ from 10° to 90°), by angle:
5.100 Å, 2θ 17.39, I = 387, (0 0 3); 4.479 Å, 2θ 19.82, I = 153, (0 1 2); 3.145 Å, 2θ 28.38, I = 596, (1 0 4); 2.719 Å, 2θ 32.94, I = 1000, (0 2 1); 2.705 Å, 2θ 33.12, I = 447, (1 1 3); 2.677 Å, 2θ 33.48, I = 336, (0 1 5); 2.599 Å, 2θ 34.51, I = 343, (2 0 2); 1.833 Å, 2θ 49.74, I = 243, (2 1 4); 1.725 Å, 2θ 53.09, I = 215, (1 2 5); 1.714 Å, 2θ 53.45, I = 202, (0 2 7); 1.595 Å, 2θ 57.80, I = 303, (2 2 0); 1.572 Å, 2θ 58.72, I = 254, (2 0 8)

```
data_LiCeTa4N8
_chemical_formula_sum 'Li3 Ce3 Ta12 N24'
_space_group_name_H-M_alt 'R 3 m'
_space_group_IT_number 160
_space_group_name_Hall 'R 3 -2"'
_cell_length_a 6.3807
_cell_length_b 6.3807
_cell_length_c 15.2991
_cell_angle_alpha 90.00
_cell_angle_beta 90.00
_cell_angle_gamma 120.00
loop_
_atom_site_label
_atom_site_type_symbol
_atom_site_fract_x
_atom_site_fract_y
_atom_site_fract_z
_atom_site_occupancy
Li1 Li 0.0000 0.0000 0.0000 1
Ce1 Ce 0.0000 0.0000 0.3929 1
Ta1 Ta 0.0000 0.0000 0.6216 1
Ta2 Ta 0.1728 0.3456 0.8315 1
N1 N 0.0000 0.0000 0.2399 1
N2 N 0.0000 0.0000 0.7551 1
N3 N 0.0087 0.5044 0.2364 1
N4 N 0.0494 0.5247 0.7586 1
```